No. 1
Structure and calculated powder diffraction line list of KMgPO4 (a structure optimized by DFT (GGA-PBE); Cu Kα (λ = 1.5418 Å)).

Principal peaks in the range 2θ from 5° to 70°, sorted by position:
d [Å], two_theta, Rel. int.
4.330, 20.5, 28
4.261, 20.8, 27
4.156, 21.4, 31
3.282, 27.2, 69
3.233, 27.6, 75
3.155, 28.3, 100
3.112, 28.7, 78
2.723, 32.9, 35
2.574, 34.8, 42
1.891, 48.1, 24

Cell and atoms:
a b c (Å): 8.665 5.147 19.263
angles (deg): 90.00 91.70 90.00
Space group P2_1/c (No. 14)
Unique sites:
K  0.004  0.225  0.093 [4 per cell]
K  0.482  0.734  0.340 [4 per cell]
Mg  0.156  0.225  0.769 [4 per cell]
Mg  0.322  0.721  0.531 [4 per cell]
P  0.207  0.705  0.190 [4 per cell]
P  0.295  0.247  0.437 [4 per cell]
O  0.051  0.594  0.218 [4 per cell]
O  0.207  0.660  0.110 [4 per cell]
O  0.213  0.182  0.867 [4 per cell]
O  0.219  0.100  0.997 [4 per cell]
O  0.227  0.502  0.705 [4 per cell]
O  0.281  0.551  0.950 [4 per cell]
O  0.329  0.538  0.229 [4 per cell]
O  0.468  0.175  0.934 [4 per cell]


No. 2
Structure and calculated powder diffraction line list of KMgSbP2O8 (a structure optimized by DFT (GGA-PBE); Cu Kα (λ = 1.5418 Å)).

Principal peaks in the range 2θ from 5° to 70°, sorted by position:
d [Å], two_theta, Rel. int.
9.659, 9.2, 100
4.481, 19.8, 10
3.844, 23.1, 91
3.572, 24.9, 27
3.061, 29.2, 19
2.830, 31.6, 19
2.619, 34.2, 37
2.164, 41.7, 10
2.034, 44.6, 10
1.512, 61.3, 11

Cell and atoms:
a b c (Å): 5.235 5.237 10.108
angles (deg): 75.21 75.20 60.04
Space group P1 (No. 1)
Unique sites:
K  0.000  0.000  0.000 [1 per cell]
Mg  0.137  0.139  0.596 [1 per cell]
Sb  0.542  0.544  0.380 [1 per cell]
P  0.267  0.269  0.201 [1 per cell]
P  0.790  0.792  0.635 [1 per cell]
O  0.082  0.824  0.573 [1 per cell]
O  0.294  0.504  0.261 [1 per cell]
O  0.317  0.321  0.046 [1 per cell]
O  0.502  0.949  0.261 [1 per cell]
O  0.530  0.084  0.571 [1 per cell]
O  0.735  0.741  0.791 [1 per cell]
O  0.824  0.531  0.571 [1 per cell]
O  0.947  0.295  0.262 [1 per cell]


No. 3
Structure and calculated powder diffraction line list of KMgSbP2O8 (a structure optimized by DFT (GGA-PBE); Cu Kα (λ = 1.5418 Å)).

Principal peaks in the range 2θ from 5° to 70°, sorted by position:
d [Å], two_theta, Rel. int.
8.838, 10.0, 98
3.779, 23.5, 100
3.474, 25.6, 15
2.689, 33.3, 33
2.655, 33.8, 43
2.276, 39.6, 20
2.173, 41.6, 13
1.698, 54.0, 13
1.681, 54.6, 14
1.539, 60.1, 13

Cell and atoms:
a b c (Å): 5.3106 5.3106 26.5139
angles (deg): 90.00 90.00 120.00
Space group R3 (No. 146, hexagonal axes)
Unique sites:
K  0.0000  0.0000  0.0000 [3 per cell]
Mg  0.0000  0.0000  0.1399 [3 per cell]
Sb  0.0000  0.0000  0.5073 [3 per cell]
P  0.0000  0.0000  0.2417 [3 per cell]
P  0.0000  0.0000  0.7604 [3 per cell]
O  0.0000  0.0000  0.2977 [3 per cell]
O  0.0000  0.0000  0.7039 [3 per cell]
O  0.0318  0.2902  0.7834 [9 per cell]
O  0.0413  0.7540  0.2154 [9 per cell]


No. 4
Structure and calculated powder diffraction line list of KMgSbP2O8 (a structure optimized by DFT (GGA-PBE); Cu Kα (λ = 1.5418 Å)).

Principal peaks in the range 2θ from 5° to 70°, sorted by position:
d [Å], two_theta, Rel. int.
8.234, 10.7, 23
4.449, 20.0, 55
3.649, 24.4, 100
3.336, 26.7, 18
2.782, 32.2, 21
2.611, 34.3, 52
2.550, 35.2, 25
2.205, 40.9, 20
1.892, 48.1, 20
1.647, 55.8, 16

Cell and atoms:
a b c (Å): 5.2223 5.2223 24.7022
angles (deg): 90.00 90.00 120.00
Space group R3 (No. 146, hexagonal axes)
Unique sites:
K  0.0000  0.0000  0.0000 [3 per cell]
Mg  0.0000  0.0000  0.5899 [3 per cell]
Sb  0.0000  0.0000  0.4657 [3 per cell]
P  0.0000  0.0000  0.2342 [3 per cell]
P  0.0000  0.0000  0.7304 [3 per cell]
O  0.0000  0.0000  0.2959 [3 per cell]
O  0.0000  0.0000  0.6684 [3 per cell]
O  0.0213  0.5938  0.8793 [9 per cell]
O  0.0658  0.3720  0.4179 [9 per cell]


No. 5
Structure and calculated powder diffraction line list of K2MgZn2P6O18 (a structure optimized by DFT (GGA-PBE); Cu Kα (λ = 1.5418 Å)).

Principal peaks in the range 2θ from 5° to 70°, sorted by position:
d [Å], two_theta, Rel. int.
6.013, 14.7, 38
3.858, 23.1, 100
3.282, 27.2, 33
3.007, 29.7, 35
2.857, 31.3, 57
2.581, 34.8, 16
2.217, 40.7, 14
2.004, 45.2, 14
1.929, 47.1, 13
1.686, 54.4, 24

Cell and atoms:
a b c (Å): 6.936 10.060 6.946
angles (deg): 90.00 119.92 90.00
Space group Pm (No. 6)
Unique sites:
K  0.000  0.190  0.000 [2 per cell]
Mg  0.005  0.500  0.996 [1 per cell]
Zn  0.335  0.257  0.666 [2 per cell]
P  0.456  0.500  0.399 [1 per cell]
P  0.459  0.000  0.052 [1 per cell]
P  0.596  0.000  0.541 [1 per cell]
P  0.603  0.500  0.053 [1 per cell]
P  0.948  0.500  0.544 [1 per cell]
P  0.949  0.000  0.405 [1 per cell]
O  0.068  0.128  0.424 [2 per cell]
O  0.068  0.371  0.640 [2 per cell]
O  0.360  0.128  0.933 [2 per cell]
O  0.361  0.371  0.424 [2 per cell]
O  0.433  0.000  0.274 [1 per cell]
O  0.437  0.500  0.155 [1 per cell]
O  0.576  0.128  0.641 [2 per cell]
O  0.577  0.371  0.933 [2 per cell]
O  0.723  0.500  0.563 [1 per cell]
O  0.727  0.000  0.157 [1 per cell]
O  0.844  0.000  0.568 [1 per cell]
O  0.846  0.500  0.278 [1 per cell]